Ca4IrN4: computed powder diffraction line list (Cu Kα (weighted mean of Kα1 and Kα2)), based on the GGA-PBE geometry in the Materials Project.
Kinematic intensities with the Lorentz-polarization factor, no thermal factor.

Most intense lines, 2θ from 5° to 70°, low angle first:
- d 6.465, I = 100.0, (1 0 2)
- d 3.255, I = 37.7, (1 1 1)
- d 2.907, I = 43.1, (0 1 3)
- d 2.771, I = 34.8, (2 1 2)
- d 2.758, I = 36.3, (4 0 1)
- d 2.580, I = 66.9, (2 1 3)
- d 2.425, I = 50.5, (3 1 2)
- d 2.293, I = 40.8, (1 1 5)

Atomic structure:
Unit cell a=11.2057 b=3.4832 c=15.8301 alpha=90.00 beta=90.00 gamma=90.00
Space group Pnma (No. 62)
Inequivalent atoms, fractional coordinates:
Ca  0.0390  0.2500  0.1032
Ca  0.0818  0.7500  0.3427
Ca  0.1706  0.2500  0.5260
Ca  0.2044  0.7500  0.7359
Ir  0.1789  0.2500  0.9018
N  0.0031  0.2500  0.4327
N  0.0735  0.7500  0.6267
N  0.1363  0.7500  0.2068
N  0.1967  0.7500  0.1372

=====

Rb2PtC2: computed powder diffraction line list (Cu Kα (weighted mean of Kα1 and Kα2)), based on the GGA-PBE geometry in the Materials Project.
Kinematic intensities with the Lorentz-polarization factor, no thermal factor.

Most intense lines, 2θ from 5° to 70°, low angle first:
- d 4.738, I = 29.6, (1 0 0)
- d 3.517, I = 100.0, (0 1 1)
- d 2.736, I = 67.6, (1 1 0)
- d 2.296, I = 42.8, (1 0 2)
- d 2.159, I = 26.9, (2 0 1)
- d 1.759, I = 19.0, (0 2 2)
- d 1.695, I = 25.7, (1 2 1)
- d 1.479, I = 21.6, (2 1 2)

Atomic structure:
Unit cell a=5.4714 b=5.4714 c=5.2487 alpha=90.00 beta=90.00 gamma=120.00
Space group P-3m1 (No. 164)
Inequivalent atoms, fractional coordinates:
Rb  0.3333  0.6667  0.2753
Pt  0.0000  0.0000  0.0000
C  0.0000  0.0000  0.3785

=====

Cr23Ga26Fe3: computed powder diffraction line list (Cu Kα (weighted mean of Kα1 and Kα2)), based on the GGA-PBE geometry in the Materials Project.
Kinematic intensities with the Lorentz-polarization factor, no thermal factor.

Most intense lines, 2θ from 5° to 70°, low angle first:
- d 2.604, I = 7.2, (-1 1 4)
- d 2.398, I = 7.3, (0 2 -4)
- d 2.127, I = 31.1, (0 3 3)
- d 2.121, I = 50.3, (0 0 6)
- d 2.115, I = 100.0, (3 0 -3)
- d 2.112, I = 8.8, (3 2 -3)
- d 1.915, I = 11.5, (2 4 0)
- d 1.911, I = 10.8, (4 1 1)

Atomic structure:
Unit cell a=7.7597 b=7.7882 c=12.7325 alpha=89.55 beta=89.92 gamma=70.61
Space group P1 (No. 1)
Inequivalent atoms, fractional coordinates:
Cr  0.0000  0.0000  0.0000
Cr  0.0040  0.3457  0.3422
Cr  0.0216  0.3315  0.6676
Cr  0.0560  0.5048  0.5077
Cr  0.1517  0.8553  0.1928
Cr  0.1632  0.4004  0.1844
Cr  0.2684  0.0788  0.2922
Cr  0.3521  0.3355  0.9999
Cr  0.4443  0.6879  0.6860
Cr  0.4808  0.8671  0.5261
Cr  0.4893  0.1983  0.1960
Cr  0.5008  0.5022  0.4970
Cr  0.5066  0.8408  0.8405
Cr  0.5220  0.8291  0.1707
Cr  0.5545  0.0075  0.0069
Cr  0.6544  0.3523  0.6934
Cr  0.6624  0.9025  0.6847
Cr  0.7311  0.6134  0.3995
Cr  0.7706  0.5778  0.7940
Cr  0.8492  0.8314  0.4970
Cr  0.9468  0.1860  0.1859
Cr  0.9831  0.3636  0.0242
Cr  0.9908  0.6969  0.6964
Ga  0.0233  0.6757  0.3227
Ga  0.0837  0.6543  0.0382
Ga  0.1167  0.4516  0.8476
Ga  0.1734  0.8277  0.8281
Ga  0.1921  0.1476  0.4995
Ga  0.1922  0.7665  0.5399
Ga  0.2494  0.0933  0.0938
Ga  0.2995  0.0465  0.6941
Ga  0.3075  0.4274  0.6539
Ga  0.3310  0.3673  0.3687
Ga  0.3852  0.7343  0.3460
Ga  0.4187  0.5461  0.1498
Ga  0.4759  0.5176  0.8696
Ga  0.5166  0.1757  0.8234
Ga  0.5843  0.1548  0.5387
Ga  0.6133  0.9597  0.3469
Ga  0.6740  0.3212  0.3268
Ga  0.6920  0.6479  0.9994
Ga  0.6937  0.2667  0.0403
Ga  0.7488  0.5932  0.5963
Ga  0.8017  0.5438  0.1913
Ga  0.8064  0.9276  0.1535
Ga  0.8315  0.8693  0.8689
Ga  0.8914  0.2310  0.8466
Ga  0.9192  0.0437  0.6501
Ga  0.9763  0.0183  0.3703
Fe  0.2305  0.1124  0.8999
Fe  0.3370  0.7952  0.0061
Fe  0.8381  0.2937  0.5075

=====

LaCu4P2: computed powder diffraction line list (Cu Kα (weighted mean of Kα1 and Kα2)), based on the GGA-PBE geometry in the Materials Project.
Kinematic intensities with the Lorentz-polarization factor, no thermal factor.

Most intense lines, 2θ from 5° to 70°, low angle first:
- d 2.597, I = 54.7, (1 4 1)
- d 2.579, I = 40.0, (4 2 0)
- d 2.513, I = 79.8, (3 2 1)
- d 2.347, I = 100.0, (3 3 1)
- d 2.158, I = 28.2, (2 5 1)
- d 2.059, I = 26.4, (1 7 0)
- d 1.977, I = 25.1, (3 5 1)
- d 1.952, I = 59.1, (0 0 2)

Atomic structure:
Unit cell a=11.0213 b=14.6688 c=3.9038 alpha=90.00 beta=90.00 gamma=90.00
Space group Pnnm (No. 58)
Inequivalent atoms, fractional coordinates:
La  0.0000  0.0000  0.0000
La  0.1220  0.2729  0.0000
Cu  0.0702  0.5627  0.0000
Cu  0.0766  0.8315  0.5000
Cu  0.0981  0.4474  0.5000
Cu  0.1696  0.7153  0.0000
Cu  0.2360  0.9640  0.5000
Cu  0.2423  0.5872  0.5000
P  0.0613  0.6654  0.5000
P  0.1357  0.1143  0.5000
P  0.2083  0.8714  0.0000

=====

OsN: computed powder diffraction line list (Cu Kα (weighted mean of Kα1 and Kα2)), based on the GGA-PBE geometry in the Materials Project.
Kinematic intensities with the Lorentz-polarization factor, no thermal factor.

Most intense lines, 2θ from 5° to 70°, low angle first:
- d 4.065, I = 33.8, (1 0 0)
- d 2.874, I = 38.9, (1 1 0)
- d 2.347, I = 100.0, (1 1 1)
- d 2.032, I = 64.8, (2 0 0)
- d 1.818, I = 15.9, (2 1 0)
- d 1.659, I = 15.1, (2 1 1)
- d 1.437, I = 42.0, (2 2 0)
- d 1.355, I = 7.8, (3 0 0)

Atomic structure:
Unit cell a=4.0648 b=4.0648 c=4.0648 alpha=90.00 beta=90.00 gamma=90.00
Space group Pm-3m (No. 221)
Inequivalent atoms, fractional coordinates:
Os  0.0000  0.0000  0.5000
N  0.0000  0.5000  0.5000

=====

CeTaO3: computed powder diffraction line list (Cu Kα (weighted mean of Kα1 and Kα2)), based on the GGA-PBE geometry in the Materials Project.
Kinematic intensities with the Lorentz-polarization factor, no thermal factor.

Most intense lines, 2θ from 5° to 70°, low angle first:
- d 4.055, I = 4.2, (1 0 0)
- d 2.867, I = 100.0, (1 1 0)
- d 2.027, I = 27.4, (2 0 0)
- d 1.813, I = 1.8, (2 1 0)
- d 1.655, I = 40.5, (2 1 1)
- d 1.434, I = 17.2, (2 2 0)
- d 1.352, I = 0.8, (3 0 0)

Atomic structure:
Unit cell a=4.0547 b=4.0547 c=4.0547 alpha=90.00 beta=90.00 gamma=90.00
Space group Pm-3m (No. 221)
Inequivalent atoms, fractional coordinates:
Ce  0.0000  0.0000  0.0000
Ta  0.5000  0.5000  0.5000
O  0.0000  0.5000  0.5000

=====

Al2CuO4: computed powder diffraction line list (Cu Kα (weighted mean of Kα1 and Kα2)), based on the GGA-PBE geometry in the Materials Project.
Kinematic intensities with the Lorentz-polarization factor, no thermal factor.

Most intense lines, 2θ from 5° to 70°, low angle first:
- d 2.874, I = 51.4, (1 1 0)
- d 2.466, I = 41.1, (0 1 20)
- d 2.456, I = 100.0, (1 1 12)
- d 2.038, I = 21.1, (0 2 16)
- d 1.568, I = 25.2, (1 2 20)
- d 1.566, I = 20.4, (0 3 12)
- d 1.445, I = 32.9, (2 0 32)
- d 1.437, I = 34.1, (2 2 0)

Atomic structure:
Unit cell a=5.7482 b=5.7482 c=56.7800 alpha=90.00 beta=90.00 gamma=120.00
Space group R3m (No. 160, hexagonal axes)
Inequivalent atoms, fractional coordinates:
Al  0.0000  0.0000  0.0000
Al  0.0000  0.0000  0.0946
Al  0.0000  0.0000  0.5937
Al  0.0000  0.0000  0.8443
Al  0.0019  0.5010  0.3746
Al  0.0023  0.5012  0.6250
Al  0.0051  0.5026  0.1247
Al  0.0053  0.5027  0.8748
Cu  0.0000  0.0000  0.1559
Cu  0.0000  0.0000  0.2492
Cu  0.0000  0.0000  0.3438
Cu  0.0000  0.0000  0.4055
Cu  0.0000  0.0000  0.4990
Cu  0.0000  0.0000  0.6564
Cu  0.0000  0.0000  0.7487
Cu  0.0000  0.0000  0.9065
O  0.0000  0.0000  0.0623
O  0.0000  0.0000  0.1906
O  0.0000  0.0000  0.3070
O  0.0000  0.0000  0.4404
O  0.0000  0.0000  0.5604
O  0.0000  0.0000  0.6908
O  0.0000  0.0000  0.8111
O  0.0000  0.0000  0.9411
O  0.0043  0.5021  0.9390
O  0.0097  0.5048  0.1896
O  0.0113  0.5057  0.4398
O  0.0428  0.5214  0.6891
O  0.1802  0.3604  0.3928
O  0.1807  0.3613  0.8930
O  0.1809  0.3619  0.1430
O  0.1868  0.3736  0.6447

=====

Cs7Cd3Br13: computed powder diffraction line list (Cu Kα (weighted mean of Kα1 and Kα2)), based on the GGA-PBE geometry in the Materials Project.
Kinematic intensities with the Lorentz-polarization factor, no thermal factor.

Most intense lines, 2θ from 5° to 70°, low angle first:
- d 3.592, I = 54.2, (4 0 2)
- d 3.463, I = 100.0, (3 3 2)
- d 3.269, I = 31.9, (4 4 0)
- d 3.171, I = 35.4, (5 3 0)
- d 3.082, I = 42.4, (6 0 0)
- d 3.059, I = 32.4, (5 1 2)
- d 2.852, I = 63.1, (0 0 4)
- d 2.375, I = 24.7, (6 1 3)

Atomic structure:
Unit cell a=18.4921 b=18.4921 c=11.4093 alpha=90.00 beta=90.00 gamma=90.00
Space group I4/mcm (No. 140)
Inequivalent atoms, fractional coordinates:
Cs  0.0000  0.1999  0.2500
Cs  0.0000  0.5000  0.2500
Cs  0.2104  0.2896  0.0000
Cd  0.0000  0.0000  0.0000
Cd  0.1271  0.3729  0.5000
Br  0.0000  0.0000  0.2500
Br  0.0115  0.3437  0.0000
Br  0.1080  0.1098  0.0000
Br  0.1763  0.3237  0.3013

=====

LiO2: computed powder diffraction line list (Cu Kα (weighted mean of Kα1 and Kα2)), based on the GGA-PBE geometry in the Materials Project.
Kinematic intensities with the Lorentz-polarization factor, no thermal factor.

Most intense lines, 2θ from 5° to 70°, low angle first:
- d 3.583, I = 25.7, (1 1 0)
- d 3.383, I = 26.6, (1 1 -1)
- d 3.120, I = 100.0, (0 0 1)
- d 2.095, I = 34.2, (2 2 -1)
- d 1.791, I = 41.2, (2 2 0)
- d 1.691, I = 31.0, (2 2 -2)
- d 1.560, I = 14.4, (0 0 2)
- d 1.469, I = 7.2, (0 4 0)

Atomic structure:
Unit cell a=5.9996 b=5.8745 c=4.1414 alpha=90.00 beta=131.11 gamma=90.00
Space group C2/m (No. 12)
Inequivalent atoms, fractional coordinates:
Li  0.0000  0.2483  0.0000
O  0.0000  0.2902  0.5000
O  0.2094  0.5000  0.5077